1.
This entry pairs a crystal structure of K3NaFeCl6 with its computed XRD peak list. Radiation: Cu Kα (weighted mean of Kα1 and Kα2). Structure: a cell relaxed with GGA-PBE.
Intensities are scaled so that the largest is 100.

Principal peaks in the range 2θ from 10° to 80°, in order of rising 2θ:
h k l	d [Å]	2theta	Rel. int.
1 3 0	5.700	15.55	100.0
0 4 0	5.250	16.89	56.9
2 2 0	4.447	19.96	51.3
1 5 0	3.861	23.03	46.5
3 1 -1	3.642	24.44	81.3
0 6 1	3.071	29.07	53.1
1 3 2	2.518	35.66	82.4
2 6 -2	2.494	36.01	36.1

Structure:
Lattice parameters (Å, degrees): 11.107 20.999 7.263 90.00 117.87 90.00
Space group C2/c (No. 15)
Asymmetric unit:
K1 0.000 0.217 0.250
K2 0.209 0.158 0.931
Na1 0.000 0.003 0.250
Fe1 0.000 0.500 0.000
Cl1 0.032 0.092 0.525
Cl2 0.160 0.493 0.868
Cl3 0.176 0.276 0.673

=====

2.
This entry pairs a crystal structure of K3NaFeCl6 with its computed XRD peak list. Radiation: Cu Kα (weighted mean of Kα1 and Kα2). Structure: a cell relaxed with GGA-PBE.
Intensities are scaled so that the largest is 100.

Principal peaks in the range 2θ from 10° to 80°, in order of rising 2θ:
h k l	d [Å]	2theta	Rel. int.
1 1 0	6.107	14.50	35.1
0 1 2	5.801	15.27	51.7
3 0 0	3.526	25.26	24.4
1 3 1	2.870	31.16	57.3
3 1 2	2.702	33.15	28.6
2 1 4	2.620	34.22	51.6
2 2 3	2.548	35.22	100.0
3 2 4	1.988	45.62	32.1

Structure:
Lattice parameters (Å, degrees): 12.2140 12.2140 13.8749 90.00 90.00 120.00
Space group R-3c (No. 167, hexagonal axes)
Asymmetric unit:
K1 0.0000 0.3763 0.2500
Na1 0.0000 0.0000 0.2500
Fe1 0.0000 0.0000 0.0000
Cl1 0.0270 0.1780 0.3937

=====

3.
This entry pairs a crystal structure of K3NaFeCl6 with its computed XRD peak list. Radiation: Cu Kα (weighted mean of Kα1 and Kα2). Structure: a cell relaxed with GGA-PBE.
Intensities are scaled so that the largest is 100.

Principal peaks in the range 2θ from 10° to 80°, in order of rising 2θ:
h k l	d [Å]	2theta	Rel. int.
1 1 0	7.475	11.84	100.0
0 2 0	6.905	12.82	24.0
2 2 0	3.737	23.81	16.6
2 0 1	3.445	25.86	25.8
1 3 1	3.337	26.71	19.2
1 3 -2	2.528	35.50	17.6
2 2 -2	2.499	35.94	23.9
4 4 0	1.869	48.73	19.1

Structure:
Lattice parameters (Å, degrees): 8.941 13.809 6.235 90.00 96.14 90.00
Space group C2/m (No. 12)
Asymmetric unit:
K1 0.000 0.000 0.000
K2 0.250 0.250 0.000
Na1 0.000 0.500 0.000
Fe1 0.000 0.000 0.500
Cl1 0.120 0.129 0.328
Cl2 0.233 0.500 0.248

=====

4.
This entry pairs a crystal structure of K3NaFeCl6 with its computed XRD peak list. Radiation: Cu Kα (weighted mean of Kα1 and Kα2). Structure: a cell relaxed with GGA-PBE.
Intensities are scaled so that the largest is 100.

Principal peaks in the range 2θ from 10° to 80°, in order of rising 2θ:
h k l	d [Å]	2theta	Rel. int.
1 1 0	6.430	13.77	95.2
1 0 1	5.887	15.05	84.6
2 2 0	3.215	27.75	37.9
2 0 2	2.944	30.37	39.8
1 3 1	2.822	31.71	100.0
1 2 2	2.677	33.48	36.2
4 0 1	2.584	34.72	83.1
0 4 2	2.171	41.59	85.7

Structure:
Lattice parameters (Å, degrees): 12.8610 12.8610 6.9352 90.00 90.00 120.00
Space group R-3m (No. 166, hexagonal axes)
Asymmetric unit:
K1 0.0000 0.5000 0.0000
Na1 0.0000 0.0000 0.0000
Fe1 0.0000 0.0000 0.5000
Cl1 0.0913 0.1826 0.7142